Starting from the GGA-PBE geometry in the Materials Project, the powder diffraction line list of LaGa3Pt was calculated for Cu Kα, 1.54184 Å.

Structural model:
```
data_LaGa3Pt
_cell_length_a 4.3506
_cell_length_b 4.3506
_cell_length_c 10.6519
_cell_angle_alpha 90.00
_cell_angle_beta 90.00
_cell_angle_gamma 90.00
_space_group_name_H-M_alt 'I -4 m 2'
_space_group_IT_number 119
_space_group_name_Hall 'I -4 -2'
loop_
_atom_site_label
_atom_site_type_symbol
_atom_site_fract_x
_atom_site_fract_y
_atom_site_fract_z
_atom_site_occupancy
La1 La 0.0000 0.0000 0.0000 1
Ga1 Ga 0.0000 0.0000 0.3811 1
Ga2 Ga 0.0000 0.5000 0.2500 1
Pt1 Pt 0.0000 0.5000 0.7500 1
```

Top 10 peaks for 2θ = 5–70°, most intense first:
- 2θ = 33.64°, d 2.664, I = 100, hkl 1 1 2
- 2θ = 41.51°, d 2.175, I = 45, hkl 2 0 0
- 2θ = 32.55°, d 2.751, I = 38, hkl 1 0 3
- 2θ = 60.17°, d 1.538, I = 29, hkl 2 2 0
- 2θ = 47.52°, d 1.913, I = 23, hkl 1 0 5
- 2θ = 22.07°, d 4.028, I = 22, hkl 1 0 1
- 2θ = 45.02°, d 2.013, I = 21, hkl 1 1 4
- 2θ = 53.72°, d 1.706, I = 19, hkl 2 1 3
- 2θ = 64.91°, d 1.437, I = 16, hkl 2 1 5
- 2θ = 16.65°, d 5.326, I = 10, hkl 0 0 2